Entry 1:
Calculated powder XRD pattern
Compound: PuGeTe2
Radiation: copper Kα
Structure: a DFT-relaxed cell (PBE, Alexandria)

Peak list (6 most intense, 2θ from 10° to 90°, low angle first)
2θ/deg, d_spacing, Rel. int.
22.34, 3.979, 27.2
30.73, 2.910, 100.0
33.29, 2.692, 91.9
35.42, 2.534, 45.0
37.75, 2.383, 41.7
42.38, 2.133, 36.8

Structural model:
Cell lengths 7.1503, 4.2655, 14.3685 Å; angles 90.00, 90.00, 90.00 degrees
Sites, in units of the cell vectors:
Pu1 0.0620 0.2500 0.1576
Pu2 0.4380 0.7500 0.6576
Pu3 0.5620 0.2500 0.3424
Pu4 0.9380 0.7500 0.8424
Ge1 0.0146 0.7500 0.6208
Ge2 0.4854 0.2500 0.1208
Ge3 0.5146 0.7500 0.8792
Ge4 0.9854 0.2500 0.3792
Te1 0.2390 0.7500 0.2961
Te2 0.2434 0.7500 0.0188
Te3 0.2566 0.2500 0.5188
Te4 0.2610 0.2500 0.7961
Te5 0.7390 0.7500 0.2039
Te6 0.7434 0.7500 0.4812
Te7 0.7566 0.2500 0.9812
Te8 0.7610 0.2500 0.7039

Entry 2:
Calculated powder XRD pattern
Compound: PuThGeTe
Radiation: copper Kα
Structure: a DFT-relaxed cell (PBE, Alexandria)

Peak list (6 most intense, 2θ from 10° to 90°, low angle first)
2θ/deg, d_spacing, Rel. int.
25.03, 3.558, 21.7
28.94, 3.085, 100.0
41.32, 2.185, 35.0
41.47, 2.178, 39.8
51.36, 1.779, 20.8
68.05, 1.378, 18.1

Structural model:
Cell lengths 4.3554, 4.3554, 21.4481 Å; angles 90.00, 90.00, 120.00 degrees
Sites, in units of the cell vectors:
Pu1 0.0000 0.0000 0.0000
Pu2 0.3333 0.6667 0.6667
Pu3 0.6667 0.3333 0.3333
Th1 0.0000 0.0000 0.4827
Th2 0.3333 0.6667 0.1493
Th3 0.6667 0.3333 0.8160
Ge1 0.0000 0.0000 0.7412
Ge2 0.3333 0.6667 0.4079
Ge3 0.6667 0.3333 0.0745
Te1 0.0000 0.0000 0.2445
Te2 0.3333 0.6667 0.9112
Te3 0.6667 0.3333 0.5779

Entry 3:
Calculated powder XRD pattern
Compound: Pu2Ti3Ge4
Radiation: copper Kα
Structure: a DFT-relaxed cell (PBE, Alexandria)

Peak list (6 most intense, 2θ from 10° to 90°, low angle first)
2θ/deg, d_spacing, Rel. int.
18.12, 4.895, 75.4
33.21, 2.698, 66.5
33.35, 2.686, 70.1
35.80, 2.508, 95.3
36.27, 2.477, 80.2
40.25, 2.241, 100.0

Structural model:
Cell lengths 7.1583, 7.1387, 7.0706 Å; angles 90.00, 110.02, 90.00 degrees
Sites, in units of the cell vectors:
Pu1 0.1819 0.1619 0.0571
Pu2 0.1819 0.3381 0.5571
Pu3 0.8181 0.6619 0.4429
Pu4 0.8181 0.8381 0.9429
Ti1 0.2535 0.6670 0.2512
Ti2 0.2535 0.8330 0.7512
Ti3 0.5000 0.0000 0.5000
Ti4 0.5000 0.5000 0.0000
Ti5 0.7465 0.1670 0.2488
Ti6 0.7465 0.3330 0.7488
Ge1 0.0916 0.5447 0.8669
Ge2 0.0916 0.9553 0.3669
Ge3 0.4947 0.1365 0.8606
Ge4 0.4947 0.3635 0.3606
Ge5 0.5053 0.6365 0.6394
Ge6 0.5053 0.8635 0.1394
Ge7 0.9084 0.0447 0.6331
Ge8 0.9084 0.4553 0.1331

Entry 4:
Calculated powder XRD pattern
Compound: TmPuGe2
Radiation: copper Kα
Structure: a DFT-relaxed cell (PBE, Alexandria)

Peak list (6 most intense, 2θ from 10° to 90°, low angle first)
2θ/deg, d_spacing, Rel. int.
29.72, 3.006, 100.0
31.87, 2.808, 97.3
32.90, 2.722, 98.9
35.54, 2.526, 78.8
40.37, 2.234, 70.9
58.07, 1.588, 58.6

Structural model:
Cell lengths 3.9104, 5.7836, 8.0672 Å; angles 90.00, 90.00, 90.00 degrees
Sites, in units of the cell vectors:
Tm1 0.0000 0.1342 0.0000
Tm2 0.0000 0.8658 0.5000
Pu1 0.5000 0.3665 0.3625
Pu2 0.5000 0.6335 0.8625
Ge1 0.0000 0.3895 0.6425
Ge2 0.0000 0.6105 0.1425
Ge3 0.5000 0.1040 0.7220
Ge4 0.5000 0.8960 0.2220

Entry 5:
Calculated powder XRD pattern
Compound: TmPu2Zn2Ge2
Radiation: copper Kα
Structure: a DFT-relaxed cell (PBE, Alexandria)

Peak list (6 most intense, 2θ from 10° to 90°, low angle first)
2θ/deg, d_spacing, Rel. int.
25.51, 3.492, 30.1
34.60, 2.593, 100.0
44.56, 2.033, 66.3
57.61, 1.600, 23.4
61.67, 1.504, 18.9
75.63, 1.257, 21.0

Structural model:
Cell lengths 9.2425, 9.2425, 9.2425 Å; angles 25.42, 25.42, 25.42 degrees
Sites, in units of the cell vectors:
Tm1 0.0000 0.0000 0.0000
Pu1 0.1518 0.1518 0.1518
Pu2 0.8482 0.8482 0.8482
Zn1 0.4131 0.4131 0.4131
Zn2 0.5869 0.5869 0.5869
Ge1 0.2652 0.2652 0.2652
Ge2 0.7348 0.7348 0.7348

Entry 6:
Calculated powder XRD pattern
Compound: PuU2Ge
Radiation: copper Kα
Structure: a DFT-relaxed cell (PBE, Alexandria)

Peak list (6 most intense, 2θ from 10° to 90°, low angle first)
2θ/deg, d_spacing, Rel. int.
21.19, 4.194, 26.1
34.50, 2.600, 70.5
35.80, 2.508, 66.0
36.31, 2.474, 100.0
39.80, 2.265, 75.0
44.72, 2.026, 26.1

Structural model:
Cell lengths 5.1289, 6.2479, 10.8051 Å; angles 90.00, 105.77, 90.00 degrees
Sites, in units of the cell vectors:
Pu1 0.1734 0.0821 0.1210
Pu2 0.1734 0.9179 0.6210
Pu3 0.8266 0.0821 0.3790
Pu4 0.8266 0.9179 0.8790
U1 0.1425 0.4109 0.6058
U2 0.1425 0.5891 0.1058
U3 0.4331 0.3459 0.3828
U4 0.4331 0.6541 0.8828
U5 0.5669 0.3459 0.1172
U6 0.5669 0.6541 0.6172
U7 0.8575 0.4109 0.8942
U8 0.8575 0.5891 0.3942
Ge1 0.3230 0.1602 0.8623
Ge2 0.3230 0.8398 0.3623
Ge3 0.6770 0.1602 0.6377
Ge4 0.6770 0.8398 0.1377

Entry 7:
Calculated powder XRD pattern
Compound: PuV4Ge4
Radiation: copper Kα
Structure: a DFT-relaxed cell (PBE, Alexandria)

Peak list (6 most intense, 2θ from 10° to 90°, low angle first)
2θ/deg, d_spacing, Rel. int.
31.04, 2.882, 100.0
34.51, 2.599, 51.7
38.14, 2.359, 40.9
38.80, 2.321, 31.7
44.27, 2.046, 41.0
59.67, 1.549, 30.0

Structural model:
Cell lengths 8.2188, 8.2188, 4.6416 Å; angles 90.00, 90.00, 90.00 degrees
Sites, in units of the cell vectors:
Pu1 0.2500 0.2500 0.2500
Pu2 0.7500 0.7500 0.7500
V1 0.1412 0.8434 0.7047
V2 0.1566 0.6412 0.2047
V3 0.3434 0.8588 0.2047
V4 0.3588 0.6566 0.7047
V5 0.6412 0.3434 0.2953
V6 0.6566 0.1412 0.7953
V7 0.8434 0.3588 0.7953
V8 0.8588 0.1566 0.2953
Ge1 0.0085 0.8946 0.2117
Ge2 0.1054 0.5085 0.7117
Ge3 0.3946 0.9915 0.7117
Ge4 0.4915 0.6054 0.2117
Ge5 0.5085 0.3946 0.7883
Ge6 0.6054 0.0085 0.2883
Ge7 0.8946 0.4915 0.2883
Ge8 0.9915 0.1054 0.7883

Entry 8:
Calculated powder XRD pattern
Compound: PuGeW
Radiation: copper Kα
Structure: a DFT-relaxed cell (PBE, Alexandria)

Peak list (6 most intense, 2θ from 10° to 90°, low angle first)
2θ/deg, d_spacing, Rel. int.
28.41, 3.142, 51.0
34.16, 2.625, 100.0
34.46, 2.603, 34.3
36.71, 2.448, 46.8
39.74, 2.268, 63.3
46.06, 1.970, 51.7

Structural model:
Cell lengths 5.5737, 5.5729, 8.2868 Å; angles 90.00, 109.56, 90.00 degrees
Sites, in units of the cell vectors:
Pu1 0.1772 0.0000 0.3556
Pu2 0.3228 0.5000 0.6444
Pu3 0.6772 0.5000 0.3556
Pu4 0.8228 0.0000 0.6444
Ge1 0.1190 0.5000 0.2392
Ge2 0.3810 0.0000 0.7608
Ge3 0.6190 0.0000 0.2392
Ge4 0.8810 0.5000 0.7608
W1 0.2500 0.2500 0.0000
W2 0.2500 0.7500 0.0000
W3 0.7500 0.2500 0.0000
W4 0.7500 0.7500 0.0000

Entry 9:
Calculated powder XRD pattern
Compound: YPuGe2
Radiation: copper Kα
Structure: a DFT-relaxed cell (PBE, Alexandria)

Peak list (6 most intense, 2θ from 10° to 90°, low angle first)
2θ/deg, d_spacing, Rel. int.
29.49, 3.029, 90.6
31.62, 2.829, 100.0
32.62, 2.745, 94.5
35.26, 2.545, 90.0
40.04, 2.252, 92.1
57.58, 1.601, 59.6

Structural model:
Cell lengths 3.9379, 5.8315, 8.1347 Å; angles 90.00, 90.00, 90.00 degrees
Sites, in units of the cell vectors:
Y1 0.0000 0.1348 0.0000
Y2 0.0000 0.8652 0.5000
Pu1 0.5000 0.3663 0.3632
Pu2 0.5000 0.6337 0.8632
Ge1 0.0000 0.3883 0.6442
Ge2 0.0000 0.6117 0.1442
Ge3 0.5000 0.1061 0.7206
Ge4 0.5000 0.8939 0.2206

Entry 10:
Calculated powder XRD pattern
Compound: Y2PuGe4
Radiation: copper Kα
Structure: a DFT-relaxed cell (PBE, Alexandria)

Peak list (6 most intense, 2θ from 10° to 90°, low angle first)
2θ/deg, d_spacing, Rel. int.
29.18, 3.060, 14.7
32.10, 2.788, 100.0
36.42, 2.467, 23.8
41.16, 2.193, 20.1
42.10, 2.146, 17.2
45.37, 1.999, 13.9

Structural model:
Cell lengths 3.9976, 4.2928, 18.3602 Å; angles 90.00, 90.00, 90.00 degrees
Sites, in units of the cell vectors:
Y1 0.0000 0.0000 0.1819
Y2 0.0000 0.0000 0.8181
Y3 0.5000 0.5000 0.3181
Y4 0.5000 0.5000 0.6819
Pu1 0.0000 0.5000 0.5000
Pu2 0.5000 0.0000 0.0000
Ge1 0.0000 0.0000 0.3426
Ge2 0.0000 0.0000 0.6574
Ge3 0.0000 0.5000 0.0675
Ge4 0.0000 0.5000 0.9325
Ge5 0.5000 0.0000 0.4325
Ge6 0.5000 0.0000 0.5675
Ge7 0.5000 0.5000 0.1574
Ge8 0.5000 0.5000 0.8426

Entry 11:
Calculated powder XRD pattern
Compound: Pu2Zn3Ge
Radiation: copper Kα
Structure: a DFT-relaxed cell (PBE, Alexandria)

Peak list (6 most intense, 2θ from 10° to 90°, low angle first)
2θ/deg, d_spacing, Rel. int.
22.11, 4.021, 59.7
37.23, 2.415, 52.8
37.49, 2.399, 100.0
38.29, 2.351, 80.2
39.04, 2.307, 38.8
55.05, 1.668, 34.6

Structural model:
Cell lengths 10.1458, 9.4058, 7.5528 Å; angles 72.56, 62.19, 45.25 degrees
Sites, in units of the cell vectors:
Pu1 0.0144 0.7356 0.0144
Pu2 0.2342 0.5158 0.2342
Pu3 0.2644 0.9856 0.2644
Pu4 0.4842 0.7658 0.4842
Pu5 0.5158 0.2342 0.5158
Pu6 0.7356 0.0144 0.7356
Pu7 0.7658 0.4842 0.7658
Pu8 0.9856 0.2644 0.9856
Zn1 0.0510 0.5423 0.7025
Zn2 0.2042 0.7025 0.5423
Zn3 0.2170 0.2170 0.5330
Zn4 0.2975 0.7958 0.9490
Zn5 0.4577 0.9490 0.7958
Zn6 0.4670 0.4670 0.7830
Zn7 0.5330 0.5330 0.2170
Zn8 0.5423 0.0510 0.2042
Zn9 0.7025 0.2042 0.0510
Zn10 0.7830 0.7830 0.4670
Zn11 0.7958 0.2975 0.4577
Zn12 0.9490 0.4577 0.2975
Ge1 0.0357 0.0357 0.7143
Ge2 0.2857 0.2857 0.9643
Ge3 0.7143 0.7143 0.0357
Ge4 0.9643 0.9643 0.2857

Entry 12:
Calculated powder XRD pattern
Compound: Pu3ZnGe
Radiation: copper Kα
Structure: a DFT-relaxed cell (PBE, Alexandria)

Peak list (6 most intense, 2θ from 10° to 90°, low angle first)
2θ/deg, d_spacing, Rel. int.
23.20, 3.834, 49.5
29.82, 2.996, 48.9
30.88, 2.896, 100.0
37.32, 2.409, 66.1
38.12, 2.361, 57.4
43.46, 2.082, 61.9

Structural model:
Cell lengths 8.4244, 9.2509, 5.9917 Å; angles 90.00, 90.00, 90.00 degrees
Sites, in units of the cell vectors:
Pu1 0.0000 0.0000 0.2464
Pu2 0.0000 0.0000 0.7536
Pu3 0.1091 0.3609 0.2496
Pu4 0.1091 0.3609 0.7504
Pu5 0.3909 0.8609 0.2504
Pu6 0.3909 0.8609 0.7496
Pu7 0.5000 0.5000 0.2536
Pu8 0.5000 0.5000 0.7464
Pu9 0.6091 0.1391 0.2504
Pu10 0.6091 0.1391 0.7496
Pu11 0.8909 0.6391 0.2496
Pu12 0.8909 0.6391 0.7504
Zn1 0.2043 0.6397 0.0000
Zn2 0.2957 0.1397 0.5000
Zn3 0.7043 0.8603 0.5000
Zn4 0.7957 0.3603 0.0000
Ge1 0.2042 0.6373 0.5000
Ge2 0.2958 0.1373 0.0000
Ge3 0.7042 0.8627 0.0000
Ge4 0.7958 0.3627 0.5000

Please write out number 12 again, unchanged.
Calculated powder XRD pattern
Compound: Pu3ZnGe
Radiation: copper Kα
Structure: a DFT-relaxed cell (PBE, Alexandria)

Peak list (6 most intense, 2θ from 10° to 90°, low angle first)
2θ/deg, d_spacing, Rel. int.
23.20, 3.834, 49.5
29.82, 2.996, 48.9
30.88, 2.896, 100.0
37.32, 2.409, 66.1
38.12, 2.361, 57.4
43.46, 2.082, 61.9

Structural model:
Cell lengths 8.4244, 9.2509, 5.9917 Å; angles 90.00, 90.00, 90.00 degrees
Sites, in units of the cell vectors:
Pu1 0.0000 0.0000 0.2464
Pu2 0.0000 0.0000 0.7536
Pu3 0.1091 0.3609 0.2496
Pu4 0.1091 0.3609 0.7504
Pu5 0.3909 0.8609 0.2504
Pu6 0.3909 0.8609 0.7496
Pu7 0.5000 0.5000 0.2536
Pu8 0.5000 0.5000 0.7464
Pu9 0.6091 0.1391 0.2504
Pu10 0.6091 0.1391 0.7496
Pu11 0.8909 0.6391 0.2496
Pu12 0.8909 0.6391 0.7504
Zn1 0.2043 0.6397 0.0000
Zn2 0.2957 0.1397 0.5000
Zn3 0.7043 0.8603 0.5000
Zn4 0.7957 0.3603 0.0000
Ge1 0.2042 0.6373 0.5000
Ge2 0.2958 0.1373 0.0000
Ge3 0.7042 0.8627 0.0000
Ge4 0.7958 0.3627 0.5000